Diffraction record for Sr3Ge4Pd2Au2. The powder X-ray diffraction pattern is computed, not measured: it uses a crystal structure in OQMD, relaxed with PBE and Cu Kα X-rays.
Neutral-atom scattering factors, no anomalous dispersion.

Top 10 peaks for 2θ from 15° to 90°, in order of rising 2θ:
d_spacing, 2θ/deg, I/Imax, (hkl)
4.432, 20.03, 36, 0 1 1
2.843, 31.47, 100, 1 1 4
2.817, 31.77, 37, 0 1 7
2.382, 37.76, 29, 1 0 9
2.251, 40.06, 62, 2 0 0
2.046, 44.26, 19, 1 0 11
1.979, 45.85, 26, 1 1 10
1.758, 52.02, 19, 2 1 7
1.591, 57.95, 21, 2 2 0
1.389, 67.45, 22, 3 1 4

Crystal structure
```
data_Sr3Ge4Pd2Au2
_symmetry_space_group_name_H-M 'I m m m'
_symmetry_Int_Tables_number 71
_symmetry_space_group_name_Hall '-I 2 2'
_cell_length_a 4.500
_cell_length_b 4.502
_cell_length_c 25.274
_cell_angle_alpha 90.00
_cell_angle_beta 90.00
_cell_angle_gamma 90.00
loop_
_atom_site_label
_atom_site_type_symbol
_atom_site_fract_x
_atom_site_fract_y
_atom_site_fract_z
Sr1 Sr 0.000 0.000 0.000
Sr2 Sr 0.000 0.500 0.351
Ge1 Ge 0.000 0.000 0.451
Ge2 Ge 0.000 0.500 0.202
Pd1 Pd 0.000 0.000 0.250
Au1 Au 0.000 0.500 0.099
```



Diffraction record for NbTe2NF6. The powder X-ray diffraction pattern is computed, not measured: it uses a crystal structure in OQMD, relaxed with PBE and Cu Kα X-rays.
Neutral-atom scattering factors, no anomalous dispersion.

Top 10 peaks for 2θ from 15° to 90°, in order of rising 2θ:
d_spacing, 2θ/deg, I/Imax, (hkl)
3.666, 24.28, 43, 2 0 -1
3.629, 24.53, 100, 1 1 1
2.864, 31.23, 55, 3 1 0
2.839, 31.52, 27, 0 2 0
2.510, 35.77, 18, 0 2 1
2.357, 38.19, 19, 2 0 2
2.244, 40.18, 40, 2 2 -1
1.953, 46.51, 25, 3 1 2
1.777, 51.42, 20, 5 1 -1
1.682, 54.56, 16, 1 1 3

Crystal structure
```
data_NbTe2NF6
_symmetry_space_group_name_H-M 'C 1 2/m 1'
_symmetry_Int_Tables_number 12
_cell_length_a 9.950
_cell_length_b 5.677
_cell_length_c 5.376
_cell_angle_alpha 90.00
_cell_angle_beta 90.46
_cell_angle_gamma 90.00
loop_
_symmetry_equiv_pos_as_xyz
'x,y,z'
'-x,-y,-z'
'-x,y,-z'
'x,-y,z'
'x+1/2,y+1/2,z'
'-x+1/2,-y+1/2,-z'
'-x+1/2,y+1/2,-z'
'x+1/2,-y+1/2,z'
loop_
_atom_site_label
_atom_site_type_symbol
_atom_site_fract_x
_atom_site_fract_y
_atom_site_fract_z
Nb1 Nb 0.000 0.000 0.000
Te1 Te 0.183 0.500 0.422
N1 N 0.000 0.500 0.500
F1 F 0.081 0.000 0.328
F2 F 0.126 0.240 0.903
```